Record 1
Calculated PXRD pattern of SeS for Cu Kα, 1.54184 Å, from a structure optimized by DFT (PBE).
No peak broadening, texture or thermal motion is included.

a b c (Å): 5.4195 5.4195 5.4195
angles (deg): 90.00 90.00 90.00
Space group Fm-3m (No. 225)
Asymmetric unit:
Se 0.0000 0.0000 0.0000 x4
S 0.0000 0.0000 0.5000 x4

Peak list (6 most intense, 2θ from 5° to 70°, in order of rising 2θ)
(1 1 1), 2θ 28.53, rel. 32; (2 0 0), 2θ 33.06, rel. 100; (2 2 0), 2θ 47.45, rel. 69; (3 1 1), 2θ 56.30, rel. 16; (2 2 2), 2θ 59.05, rel. 23; (4 0 0), 2θ 69.36, rel. 11

---

Record 2
Calculated PXRD pattern of Sn2SeS for Cu Kα, 1.54184 Å, from a structure optimized by DFT (PBE).
No peak broadening, texture or thermal motion is included.

a b c (Å): 4.1242 4.4856 11.6126
angles (deg): 90.00 90.00 90.00
Space group Pmc2_1 (No. 26)
Asymmetric unit:
Sn 0.0000 0.1213 0.0000 x2
Sn 0.5000 0.3525 0.7586 x2
Se 0.0000 0.2258 0.2376 x2
S 0.5000 0.2626 0.5325 x2

Peak list (10 most intense, 2θ from 5° to 70°, in order of rising 2θ)
(0 1 2), 2θ 25.09, rel. 36; (1 0 2), 2θ 26.51, rel. 26; (1 1 0), 2θ 29.42, rel. 35; (1 1 1), 2θ 30.43, rel. 100; (0 0 4), 2θ 30.80, rel. 59; (1 1 3), 2θ 37.65, rel. 42; (1 1 4), 2θ 43.11, rel. 25; (2 0 0), 2θ 43.90, rel. 31; (0 2 3), 2θ 46.78, rel. 29; (1 1 5), 2θ 49.41, rel. 26

---

Record 3
Calculated PXRD pattern of Sn2SeS2 for Cu Kα, 1.54184 Å, from a structure optimized by DFT (PBE).
No peak broadening, texture or thermal motion is included.

a b c (Å): 9.1779 3.8924 14.5210
angles (deg): 90.00 90.00 90.00
Space group Pnma (No. 62)
Asymmetric unit:
Sn 0.0219 0.2500 0.1713 x4
Sn 0.1597 0.2500 0.5540 x4
Se 0.1578 0.2500 0.9927 x4
S 0.0183 0.2500 0.3960 x4
S 0.2124 0.7500 0.2099 x4

Peak list (10 most intense, 2θ from 5° to 70°, in order of rising 2θ)
(0 0 2), 2θ 12.19, rel. 56; (1 0 2), 2θ 15.56, rel. 63; (1 0 3), 2θ 20.75, rel. 47; (1 1 2), 2θ 27.76, rel. 45; (2 1 0), 2θ 30.11, rel. 79; (2 1 1), 2θ 30.74, rel. 100; (1 0 5), 2θ 32.33, rel. 41; (2 1 2), 2θ 32.59, rel. 72; (0 1 5), 2θ 38.68, rel. 58; (3 1 4), 2θ 45.22, rel. 77

---

Record 4
Calculated PXRD pattern of SnSeS for Cu Kα, 1.54184 Å, from a structure optimized by DFT (PBE).
No peak broadening, texture or thermal motion is included.

a b c (Å): 3.7945 3.7945 6.4319
angles (deg): 90.00 90.00 120.00
Space group P3m1 (No. 156)
Asymmetric unit:
Sn 0.0000 0.0000 0.0000 x1
Se 0.6667 0.3333 0.7491 x1
S 0.3333 0.6667 0.2273 x1

Peak list (10 most intense, 2θ from 5° to 70°, in order of rising 2θ)
(0 0 1), 2θ 13.77, rel. 80; (1 0 0), 2θ 27.14, rel. 16; (0 1 1), 2θ 30.55, rel. 100; (0 1 2), 2θ 39.20, rel. 70; (1 1 0), 2θ 47.95, rel. 32; (1 1 1), 2θ 50.13, rel. 19; (1 0 3), 2θ 50.85, rel. 26; (2 0 1), 2θ 57.93, rel. 16; (2 0 2), 2θ 63.59, rel. 17; (1 1 3), 2θ 65.72, rel. 7

---

Record 5
Calculated PXRD pattern of Sr2SeS for Cu Kα, 1.54184 Å, from a structure optimized by DFT (PBE).
No peak broadening, texture or thermal motion is included.

a b c (Å): 4.3714 4.3714 21.4383
angles (deg): 90.00 90.00 120.00
Space group R-3m (No. 166, hexagonal axes)
Asymmetric unit:
Sr 0.0000 0.0000 0.2471 x6
Se 0.0000 0.0000 0.0000 x3
S 0.0000 0.0000 0.5000 x3

Peak list (10 most intense, 2θ from 5° to 70°, in order of rising 2θ)
(0 0 3), 2θ 12.39, rel. 3; (1 0 1), 2θ 23.87, rel. 4; (0 1 2), 2θ 24.94, rel. 9; (1 0 4), 2θ 28.87, rel. 100; (0 1 5), 2θ 31.53, rel. 4; (1 1 0), 2θ 41.29, rel. 74; (2 0 2), 2θ 48.84, rel. 5; (0 2 4), 2θ 51.17, rel. 26; (2 0 8), 2θ 59.82, rel. 12; (2 1 4), 2θ 67.76, rel. 33

---

Record 6
Calculated PXRD pattern of Ta4SeS for Cu Kα, 1.54184 Å, from a structure optimized by DFT (PBE).
No peak broadening, texture or thermal motion is included.

a b c (Å): 3.3629 3.3629 9.8088
angles (deg): 90.00 90.00 90.00
Space group P4mm (No. 99)
Asymmetric unit:
Ta 0.0000 0.0000 0.0000 x1
Ta 0.0000 0.0000 0.3251 x1
Ta 0.5000 0.5000 0.1573 x1
Ta 0.5000 0.5000 0.8258 x1
Se 0.5000 0.5000 0.4538 x1
S 0.0000 0.0000 0.7285 x1

Peak list (10 most intense, 2θ from 5° to 70°, in order of rising 2θ)
(0 0 1), 2θ 9.02, rel. 67; (0 0 2), 2θ 18.09, rel. 8; (1 0 2), 2θ 32.28, rel. 9; (1 1 0), 2θ 37.83, rel. 58; (1 0 3), 2θ 38.40, rel. 100; (1 1 1), 2θ 38.97, rel. 9; (1 0 4), 2θ 45.79, rel. 13; (2 0 0), 2θ 54.58, rel. 20; (2 1 3), 2θ 68.70, rel. 37; (1 1 6), 2θ 69.82, rel. 14

---

Record 7
Calculated PXRD pattern of TeW2Se2S for Cu Kα, 1.54184 Å, from a structure optimized by DFT (PBE).
No peak broadening, texture or thermal motion is included.

a b c (Å): 3.3419 3.3419 38.1451
angles (deg): 90.00 90.00 120.00
Space group P3m1 (No. 156)
Asymmetric unit:
Te 0.0000 0.0000 0.0000 x1
Te 0.0000 0.0000 0.1000 x1
W 0.0000 0.0000 0.2379 x1
W 0.0000 0.0000 0.8621 x1
W 0.3333 0.6667 0.0500 x1
W 0.3333 0.6667 0.4258 x1
Se 0.0000 0.0000 0.3819 x1
Se 0.0000 0.0000 0.4697 x1
Se 0.3333 0.6667 0.1940 x1
Se 0.3333 0.6667 0.2818 x1
S 0.3333 0.6667 0.8222 x1
S 0.3333 0.6667 0.9021 x1

Peak list (10 most intense, 2θ from 5° to 70°, in order of rising 2θ)
(0 0 3), 2θ 6.95, rel. 20; (0 0 5), 2θ 11.60, rel. 100; (0 0 6), 2θ 13.93, rel. 18; (1 0 0), 2θ 30.92, rel. 37; (1 0 5), 2θ 33.10, rel. 14; (1 0 8), 2θ 36.31, rel. 73; (0 0 16), 2θ 37.66, rel. 17; (0 1 13), 2θ 43.94, rel. 41; (1 0 14), 2θ 45.73, rel. 14; (1 1 0), 2θ 54.96, rel. 26

---

Record 8
Calculated PXRD pattern of TeW2SeS2 for Cu Kα, 1.54184 Å, from a structure optimized by DFT (PBE).
No peak broadening, texture or thermal motion is included.

a b c (Å): 3.3066 3.3066 37.6802
angles (deg): 90.00 90.00 120.00
Space group P3m1 (No. 156)
Asymmetric unit:
Te 0.0000 0.0000 0.0000 x1
Te 0.0000 0.0000 0.1020 x1
W 0.0000 0.0000 0.2389 x1
W 0.0000 0.0000 0.8631 x1
W 0.3333 0.6667 0.0510 x1
W 0.3333 0.6667 0.4267 x1
Se 0.0000 0.0000 0.3820 x1
Se 0.0000 0.0000 0.4715 x1
S 0.3333 0.6667 0.1982 x1
S 0.3333 0.6667 0.2796 x1
S 0.3333 0.6667 0.8224 x1
S 0.3333 0.6667 0.9038 x1

Peak list (10 most intense, 2θ from 5° to 70°, in order of rising 2θ)
(0 0 3), 2θ 7.04, rel. 30; (0 0 5), 2θ 11.74, rel. 100; (0 0 6), 2θ 14.10, rel. 19; (1 0 0), 2θ 31.26, rel. 36; (1 0 5), 2θ 33.48, rel. 13; (1 0 8), 2θ 36.73, rel. 71; (0 1 13), 2θ 44.47, rel. 36; (1 0 14), 2θ 46.29, rel. 12; (1 1 0), 2θ 55.60, rel. 23; (0 2 8), 2θ 68.49, rel. 11